Ce7In2Rh2: calculated X-ray powder pattern (Cu Kα, 1.54184 Å), based on a cell relaxed with GGA-PBE.

Most intense lines, 10 to 90 degrees two-theta, in order of falling intensity:
- 2θ = 35.23°, intensity 100
- 2θ = 31.31°, intensity 51
- 2θ = 31.88°, intensity 38
- 2θ = 33.96°, intensity 34
- 2θ = 32.75°, intensity 28
- 2θ = 50.88°, intensity 17
- 2θ = 65.07°, intensity 15
- 2θ = 60.97°, intensity 15
- 2θ = 41.23°, intensity 15
- 2θ = 60.69°, intensity 13

```
Ce7In2Rh2
1.0
-1.7945 8.5710 4.6707
1.7945 -8.5710 4.6707
1.7945 8.5710 -4.6707
Ce In Rh
7 2 2
direct
0.0000 0.0000 0.0000
0.0257 0.3571 0.6686
0.1251 0.7779 0.3472
0.4307 0.7779 0.6528
0.4366 0.5948 0.8417
0.6884 0.3571 0.3314
0.7531 0.5948 0.1583
0.3861 0.3861 0.0000
0.6829 0.1829 0.5000
0.2770 0.0765 0.2005
0.8761 0.0765 0.7995
```